Structure and theoretical X-ray powder pattern of PmTaCr2O6 (the GGA+U geometry in Alexandria; Cu Kα (λ = 1.5418 Å)).

Structure:
```
PmTaCr2O6
1.0
5.4006 0.0000 0.0000
-2.6739 4.7108 0.0000
-2.6990 -1.5561 4.8565
Pm Ta Cr O
1 1 2 6
Direct
0.0000 0.0000 0.0000
0.9781 0.4862 0.4626
0.5839 0.2903 0.8718
0.5954 0.7967 0.3896
0.0876 0.4316 0.1754
0.0940 0.2188 0.6466
0.4297 0.8701 0.6430
0.5229 0.0889 0.1791
0.7454 0.6539 0.1759
0.7771 0.5609 0.6440
```

The 12 most intense peaks (10° ≤ 2θ ≤ 80°), by intensity:
- 22.50 deg, d 3.952, rel. 100, hkl 1 0 0
- 31.12 deg, d 2.874, rel. 95, hkl 1 0 -2
- 50.48 deg, d 1.808, rel. 57, hkl 1 -2 2
- 22.61 deg, d 3.933, rel. 49, hkl -1 1 1
- 30.99 deg, d 2.886, rel. 48, hkl 0 1 1
- 32.91 deg, d 2.722, rel. 47, hkl 1 1 -1
- 33.08 deg, d 2.708, rel. 46, hkl 1 -2 0
- 33.18 deg, d 2.700, rel. 46, hkl -2 1 1
- 45.93 deg, d 1.976, rel. 36, hkl 0 2 -2
- 57.98 deg, d 1.591, rel. 27, hkl 2 -3 1
- 37.02 deg, d 2.428, rel. 19, hkl 0 0 2
- 46.16 deg, d 1.967, rel. 17, hkl -2 2 2